No. 1
Computed powder diffraction line list
Compound: Sr5CaAl2O8F2
Radiation: copper Kα
Structure: a structure optimized by DFT (PBE)
Peak positions follow from Bragg's law for the DFT cell and can differ from measured ones.

Peak list (10 most intense, 2θ from 15° to 90°, most intense first)
2θ/deg	intensity
30.9	100
38.2	53
38.4	45
32.0	41
30.5	30
42.4	26
42.1	26
24.6	25
56.8	22
56.4	21

Structure:
Unit cell a=7.342 b=6.770 c=7.378 alpha=62.35 beta=54.77 gamma=62.89
Element x y z (fractional)
Sr (0.000, 0.000, 0.000)
Sr (0.409, 0.409, 0.091)
Sr (0.496, 0.833, 0.504)
Sr (0.833, 0.496, 0.167)
Sr (0.909, 0.909, 0.591)
Ca (0.340, 0.340, 0.660)
Al (0.414, 0.913, 0.087)
Al (0.913, 0.414, 0.586)
O (0.162, 0.173, 0.544)
O (0.173, 0.162, 0.121)
O (0.371, 0.664, 0.336)
O (0.456, 0.879, 0.838)
O (0.660, 0.953, 0.047)
O (0.664, 0.371, 0.629)
O (0.879, 0.456, 0.827)
O (0.953, 0.660, 0.340)
F (0.169, 0.658, 0.831)
F (0.658, 0.169, 0.342)


No. 2
Computed powder diffraction line list
Compound: PrZnCo
Radiation: copper Kα
Structure: a structure optimized by DFT (PBE)
Peak positions follow from Bragg's law for the DFT cell and can differ from measured ones.

Peak list (10 most intense, 2θ from 15° to 90°, most intense first)
2θ/deg	intensity
34.7	100
38.6	62
36.3	46
40.5	46
34.2	45
36.6	40
67.6	24
29.7	21
32.4	18
28.8	18

Structure:
Unit cell a=5.958 b=5.542 c=7.718 alpha=90.00 beta=112.07 gamma=90.00
Element x y z (fractional)
Pr (0.190, 0.112, 0.375)
Pr (0.190, 0.388, 0.875)
Pr (0.810, 0.612, 0.125)
Pr (0.810, 0.888, 0.625)
Zn (0.404, 0.605, 0.301)
Zn (0.404, 0.895, 0.801)
Zn (0.596, 0.105, 0.199)
Zn (0.596, 0.395, 0.699)
Co (0.179, 0.607, 0.528)
Co (0.179, 0.893, 0.028)
Co (0.821, 0.107, 0.972)
Co (0.821, 0.393, 0.472)


No. 3
Computed powder diffraction line list
Compound: Li2TbAlO4
Radiation: copper Kα
Structure: a structure optimized by DFT (PBE)
Peak positions follow from Bragg's law for the DFT cell and can differ from measured ones.

Peak list (10 most intense, 2θ from 15° to 90°, most intense first)
2θ/deg	intensity
22.1	100
24.7	88
37.0	79
45.1	62
42.0	54
64.4	30
58.5	29
27.2	27
67.9	26
50.7	22

Structure:
Unit cell a=4.874 b=4.874 c=4.874 alpha=117.01 beta=117.01 gamma=95.27
Element x y z (fractional)
Li (0.250, 0.750, 0.500)
Li (0.750, 0.250, 0.500)
Tb (0.000, 0.000, 0.000)
Al (0.500, 0.500, 0.000)
O (0.145, 0.566, 0.000)
O (0.434, 0.434, 0.579)
O (0.566, 0.145, 0.000)
O (0.855, 0.855, 0.421)